Record 1
Diffraction record for TmPaFe. The PXRD pattern is computed, not measured: it uses a GGA-PBE-relaxed structure and Cu Kα (λ = 1.5418 Å).
Neutral-atom scattering factors, no anomalous dispersion.

Main lines, low angle first (10 to 80 degrees two-theta):
27.03°, I = 23, (0 2 0); 30.11°, I = 80, (1 0 -2); 33.00°, I = 100, (2 1 0); 33.46°, I = 88, (1 1 2); 33.66°, I = 35, (1 2 -1); 40.90°, I = 37, (1 2 -2); 46.05°, I = 29, (1 3 1); 55.02°, I = 19, (3 1 -2); 55.93°, I = 23, (0 1 4); 58.01°, I = 17, (2 2 -3)

Structural model:
```
data_TmPaFe
_chemical_formula_sum 'Tm4 Pa4 Fe4'
_cell_length_a 5.9577
_cell_length_b 6.5974
_cell_length_c 6.7893
_cell_angle_alpha 90.00
_cell_angle_beta 90.84
_cell_angle_gamma 90.00
_space_group_name_H-M_alt 'P 1 21/c 1'
_space_group_IT_number 14
_space_group_name_Hall '-P 2ybc'
loop_
_atom_site_label
_atom_site_fract_x
_atom_site_fract_y
_atom_site_fract_z
Tm1 0.1334 0.1591 0.3175
Pa1 0.3633 0.6975 0.4672
Fe1 0.3780 0.5113 0.1679
```

Record 2
Diffraction record for PaZn2Fe5. The PXRD pattern is computed, not measured: it uses a GGA-PBE-relaxed structure and Cu Kα (λ = 1.5418 Å).
Neutral-atom scattering factors, no anomalous dispersion.

Main lines, low angle first (10 to 80 degrees two-theta):
14.81°, I = 40, (0 1 1); 24.20°, I = 24, (0 2 0); 28.76°, I = 30, (0 1 3); 36.72°, I = 64, (1 1 2); 37.72°, I = 25, (0 3 1); 39.70°, I = 100, (1 2 1); 39.90°, I = 55, (1 0 3); 42.96°, I = 86, (0 2 4); 51.26°, I = 26, (1 3 2); 78.11°, I = 28, (2 2 4)

Structural model:
```
data_PaZn2Fe5
_chemical_formula_sum 'Pa2 Zn4 Fe10'
_cell_length_a 3.0071
_cell_length_b 7.3557
_cell_length_c 10.2721
_cell_angle_alpha 90.00
_cell_angle_beta 90.00
_cell_angle_gamma 90.00
_space_group_name_H-M_alt 'I m m m'
_space_group_IT_number 71
_space_group_name_Hall '-I 2 2'
loop_
_atom_site_label
_atom_site_fract_x
_atom_site_fract_y
_atom_site_fract_z
Pa1 0.0000 0.0000 0.0000
Zn1 0.0000 0.5000 0.2473
Fe1 0.0000 0.2086 0.3723
Fe2 0.0000 0.5000 0.0000
```

Record 3
Diffraction record for Fe7Pb. The PXRD pattern is computed, not measured: it uses a GGA-PBE-relaxed structure and Cu Kα (λ = 1.5418 Å).
Neutral-atom scattering factors, no anomalous dispersion.

Main lines, low angle first (10 to 80 degrees two-theta):
20.48°, I = 33, (1 1 1); 23.69°, I = 18, (2 0 0); 33.76°, I = 15, (2 2 0); 39.81°, I = 20, (3 1 1); 41.66°, I = 100, (2 2 2); 48.49°, I = 47, (4 0 0); 53.16°, I = 9, (3 3 1); 54.65°, I = 8, (4 2 0); 71.00°, I = 29, (4 4 0); 74.79°, I = 7, (5 3 1)

Structural model:
```
data_Fe7Pb
_chemical_formula_sum 'Fe28 Pb4'
_cell_length_a 7.5101
_cell_length_b 7.5101
_cell_length_c 7.5101
_cell_angle_alpha 90.00
_cell_angle_beta 90.00
_cell_angle_gamma 90.00
_space_group_name_H-M_alt 'F m -3 m'
_space_group_IT_number 225
_space_group_name_Hall '-F 4 2 3'
loop_
_atom_site_label
_atom_site_fract_x
_atom_site_fract_y
_atom_site_fract_z
Fe1 0.0000 0.0000 0.0000
Fe2 0.0000 0.2500 0.2500
Pb1 0.0000 0.0000 0.5000
```

Record 4
Diffraction record for Zr2FePtPb. The PXRD pattern is computed, not measured: it uses a GGA-PBE-relaxed structure and Cu Kα (λ = 1.5418 Å).
Neutral-atom scattering factors, no anomalous dispersion.

Main lines, low angle first (10 to 80 degrees two-theta):
26.40°, I = 22, (1 1 0); 32.59°, I = 100, (1 1 1); 37.67°, I = 51, (2 0 0); 38.09°, I = 25, (0 0 2); 46.94°, I = 10, (1 1 2); 54.34°, I = 18, (2 2 0); 54.65°, I = 35, (2 0 2); 64.82°, I = 28, (3 1 1); 65.38°, I = 14, (1 1 3); 68.28°, I = 18, (2 2 2)

Structural model:
```
data_Zr2FePtPb
_chemical_formula_sum 'Zr2 Fe1 Pt1 Pb1'
_cell_length_a 4.7753
_cell_length_b 4.7753
_cell_length_c 4.7247
_cell_angle_alpha 90.00
_cell_angle_beta 90.00
_cell_angle_gamma 90.00
_space_group_name_H-M_alt 'P 4/m m m'
_space_group_IT_number 123
_space_group_name_Hall '-P 4 2'
loop_
_atom_site_label
_atom_site_fract_x
_atom_site_fract_y
_atom_site_fract_z
Zr1 0.0000 0.5000 0.0000
Fe1 0.0000 0.0000 0.0000
Pt1 0.0000 0.0000 0.5000
Pb1 0.5000 0.5000 0.5000
```

Record 5
Diffraction record for RbFe2Pb. The PXRD pattern is computed, not measured: it uses a GGA-PBE-relaxed structure and Cu Kα (λ = 1.5418 Å).
Neutral-atom scattering factors, no anomalous dispersion.

Main lines, low angle first (10 to 80 degrees two-theta):
18.26°, I = 59, (1 0 1); 18.67°, I = 20, (0 0 4); 26.78°, I = 100, (1 1 2); 35.73°, I = 24, (2 0 0); 37.87°, I = 20, (0 0 8); 38.05°, I = 40, (1 1 6); 40.61°, I = 33, (2 0 4); 55.19°, I = 26, (2 2 4); 58.92°, I = 23, (3 1 2); 65.73°, I = 16, (3 1 6)

Structural model:
```
data_RbFe2Pb
_chemical_formula_sum 'Rb4 Fe8 Pb4'
_cell_length_a 5.0258
_cell_length_b 5.0258
_cell_length_c 19.0070
_cell_angle_alpha 90.00
_cell_angle_beta 90.00
_cell_angle_gamma 90.00
_space_group_name_H-M_alt 'I 41/a m d'
_space_group_IT_number 141
loop_
_space_group_symop_operation_xyz
'x,y,z'
'-x,-y,-z'
'-y+1/4,x+3/4,z+1/4'
'y+1/4,-x+3/4,-z+1/4'
'-x+1/2,-y,z+1/2'
'x+1/2,y,-z+1/2'
'y+1/4,-x+1/4,z+3/4'
'-y+1/4,x+1/4,-z+3/4'
'x,-y,-z'
'-x,y,z'
'-y+1/4,-x+1/4,-z+3/4'
'y+1/4,x+1/4,z+3/4'
'-x+1/2,y,-z+1/2'
'x+1/2,-y,z+1/2'
'y+1/4,x+3/4,-z+1/4'
'-y+1/4,-x+3/4,z+1/4'
'x+1/2,y+1/2,z+1/2'
'-x+1/2,-y+1/2,-z+1/2'
'-y+3/4,x+1/4,z+3/4'
'y+3/4,-x+1/4,-z+3/4'
'-x,-y+1/2,z'
'x,y+1/2,-z'
'y+3/4,-x+3/4,z+1/4'
'-y+3/4,x+3/4,-z+1/4'
'x+1/2,-y+1/2,-z+1/2'
'-x+1/2,y+1/2,z+1/2'
'-y+3/4,-x+3/4,-z+1/4'
'y+3/4,x+3/4,z+1/4'
'-x,y+1/2,-z'
'x,-y+1/2,z'
'y+3/4,x+1/4,-z+3/4'
'-y+3/4,-x+1/4,z+3/4'
loop_
_atom_site_label
_atom_site_fract_x
_atom_site_fract_y
_atom_site_fract_z
Rb1 0.0000 0.2500 0.3750
Fe1 0.0000 0.0000 0.0000
Pb1 0.0000 0.2500 0.8750
```

Record 6
Diffraction record for Fe2PbSe2. The PXRD pattern is computed, not measured: it uses a GGA-PBE-relaxed structure and Cu Kα (λ = 1.5418 Å).
Neutral-atom scattering factors, no anomalous dispersion.

Main lines, low angle first (10 to 80 degrees two-theta):
22.21°, I = 36, (1 0 1); 28.11°, I = 19, (1 1 0); 34.79°, I = 100, (1 1 2); 36.47°, I = 64, (1 0 3); 40.17°, I = 63, (2 0 0); 55.37°, I = 38, (2 1 3); 55.89°, I = 15, (1 0 5); 58.11°, I = 21, (2 2 0); 69.54°, I = 27, (3 1 2); 70.45°, I = 16, (1 1 6)

Structural model:
```
data_Fe2PbSe2
_chemical_formula_sum 'Fe4 Pb2 Se4'
_cell_length_a 4.4900
_cell_length_b 4.4900
_cell_length_c 8.8409
_cell_angle_alpha 90.00
_cell_angle_beta 90.00
_cell_angle_gamma 90.00
_space_group_name_H-M_alt 'I 4/m m m'
_space_group_IT_number 139
_space_group_name_Hall '-I 4 2'
loop_
_atom_site_label
_atom_site_fract_x
_atom_site_fract_y
_atom_site_fract_z
Fe1 0.0000 0.0000 0.1327
Pb1 0.0000 0.0000 0.5000
Se1 0.0000 0.5000 0.2500
```

Record 7
Diffraction record for Fe2Sn2Pb. The PXRD pattern is computed, not measured: it uses a GGA-PBE-relaxed structure and Cu Kα (λ = 1.5418 Å).
Neutral-atom scattering factors, no anomalous dispersion.

Main lines, low angle first (10 to 80 degrees two-theta):
25.65°, I = 18, (2 1 0); 31.19°, I = 38, (1 1 1); 32.61°, I = 38, (2 2 0); 35.31°, I = 100, (2 0 1); 36.59°, I = 94, (3 1 0); 37.22°, I = 87, (2 1 1); 48.32°, I = 16, (4 1 0); 54.59°, I = 27, (0 0 2); 57.31°, I = 36, (3 3 1); 67.52°, I = 63, (3 1 2)

Structural model:
```
data_Fe2Sn2Pb
_chemical_formula_sum 'Fe4 Sn4 Pb2'
_cell_length_a 7.7662
_cell_length_b 7.7662
_cell_length_c 3.3623
_cell_angle_alpha 90.00
_cell_angle_beta 90.00
_cell_angle_gamma 90.00
_space_group_name_H-M_alt 'P 4/m b m'
_space_group_IT_number 127
_space_group_name_Hall '-P 4 2ab'
loop_
_atom_site_label
_atom_site_fract_x
_atom_site_fract_y
_atom_site_fract_z
Fe1 0.1107 0.3893 0.0000
Sn1 0.1710 0.6710 0.5000
Pb1 0.0000 0.0000 0.0000
```

Record 8
Diffraction record for TlFePb2. The PXRD pattern is computed, not measured: it uses a GGA-PBE-relaxed structure and Cu Kα (λ = 1.5418 Å).
Neutral-atom scattering factors, no anomalous dispersion.

Main lines, low angle first (10 to 80 degrees two-theta):
27.95°, I = 26, (0 0 9); 29.23°, I = 10, (1 0 1); 31.67°, I = 100, (1 0 4); 33.06°, I = 27, (0 1 5); 38.56°, I = 41, (0 1 8); 50.90°, I = 20, (1 0 13); 51.51°, I = 29, (1 1 0); 59.63°, I = 21, (1 1 9); 61.75°, I = 15, (0 2 4); 62.75°, I = 11, (0 1 17)

Structural model:
```
data_TlFePb2
_chemical_formula_sum 'Tl3 Fe3 Pb6'
_cell_length_a 3.5481
_cell_length_b 3.5481
_cell_length_c 28.7278
_cell_angle_alpha 90.00
_cell_angle_beta 90.00
_cell_angle_gamma 120.00
_space_group_name_H-M_alt 'R -3 m'
_space_group_IT_number 166
_space_group_name_Hall '-R 3 2"'
loop_
_atom_site_label
_atom_site_fract_x
_atom_site_fract_y
_atom_site_fract_z
Tl1 0.0000 0.0000 0.0000
Fe1 0.0000 0.0000 0.5000
Pb1 0.0000 0.0000 0.2330
```

Record 9
Diffraction record for TlFePb2. The PXRD pattern is computed, not measured: it uses a GGA-PBE-relaxed structure and Cu Kα (λ = 1.5418 Å).
Neutral-atom scattering factors, no anomalous dispersion.

Main lines, low angle first (10 to 80 degrees two-theta):
25.61°, I = 31, (0 0 9); 32.66°, I = 100, (1 0 4); 33.81°, I = 25, (0 1 5); 34.38°, I = 13, (0 0 12); 38.41°, I = 48, (0 1 8); 48.99°, I = 23, (1 0 13); 54.28°, I = 27, (1 1 0); 59.30°, I = 14, (0 1 17); 60.95°, I = 18, (1 1 9); 64.81°, I = 14, (0 2 4)

Structural model:
```
data_TlFePb2
_chemical_formula_sum 'Tl3 Fe3 Pb6'
_cell_length_a 3.3798
_cell_length_b 3.3798
_cell_length_c 31.2995
_cell_angle_alpha 90.00
_cell_angle_beta 90.00
_cell_angle_gamma 120.00
_space_group_name_H-M_alt 'R 3 m'
_space_group_IT_number 160
_space_group_name_Hall 'R 3 -2"'
loop_
_atom_site_label
_atom_site_fract_x
_atom_site_fract_y
_atom_site_fract_z
Tl1 0.0000 0.0000 0.0000
Fe1 0.0000 0.0000 0.7339
Pb1 0.0000 0.0000 0.2376
Pb2 0.0000 0.0000 0.4690
```

Record 10
Diffraction record for Tm12Fe2Pb3. The PXRD pattern is computed, not measured: it uses a GGA-PBE-relaxed structure and Cu Kα (λ = 1.5418 Å).
Neutral-atom scattering factors, no anomalous dispersion.

Main lines, low angle first (10 to 80 degrees two-theta):
29.44°, I = 17, (3 0 1); 32.01°, I = 100, (2 2 2); 34.20°, I = 24, (2 1 3); 35.03°, I = 8, (3 2 1); 36.07°, I = 15, (0 0 4); 37.65°, I = 31, (4 0 0); 53.13°, I = 11, (4 0 4); 54.31°, I = 19, (4 4 0); 59.02°, I = 9, (5 2 3); 64.44°, I = 14, (6 2 2)

Structural model:
```
data_Tm12Fe2Pb3
_chemical_formula_sum 'Tm24 Fe4 Pb6'
_cell_length_a 9.5562
_cell_length_b 9.5562
_cell_length_c 9.9590
_cell_angle_alpha 90.00
_cell_angle_beta 90.00
_cell_angle_gamma 90.00
_space_group_name_H-M_alt 'I 4/m m m'
_space_group_IT_number 139
_space_group_name_Hall '-I 4 2'
loop_
_atom_site_label
_atom_site_fract_x
_atom_site_fract_y
_atom_site_fract_z
Tm1 0.0000 0.2453 0.2150
Tm2 0.1946 0.1946 0.5000
Fe1 0.0000 0.0000 0.3880
Pb1 0.0000 0.0000 0.0000
Pb2 0.0000 0.5000 0.0000
```

Record 11
Diffraction record for Fe4PbW. The PXRD pattern is computed, not measured: it uses a GGA-PBE-relaxed structure and Cu Kα (λ = 1.5418 Å).
Neutral-atom scattering factors, no anomalous dispersion.

Main lines, low angle first (10 to 80 degrees two-theta):
22.23°, I = 28, (1 1 1); 25.73°, I = 1, (2 0 0); 36.70°, I = 78, (2 2 0); 43.33°, I = 100, (3 1 1); 45.36°, I = 10, (2 2 2); 52.88°, I = 2, (4 0 0); 58.05°, I = 8, (3 3 1); 66.09°, I = 29, (4 2 2); 70.67°, I = 31, (5 1 1); 78.05°, I = 22, (4 4 0)

Structural model:
```
data_Fe4PbW
_chemical_formula_sum 'Fe16 Pb4 W4'
_cell_length_a 6.9259
_cell_length_b 6.9259
_cell_length_c 6.9259
_cell_angle_alpha 90.00
_cell_angle_beta 90.00
_cell_angle_gamma 90.00
_space_group_name_H-M_alt 'F -4 3 m'
_space_group_IT_number 216
_space_group_name_Hall 'F -4 2 3'
loop_
_atom_site_label
_atom_site_fract_x
_atom_site_fract_y
_atom_site_fract_z
Fe1 0.1233 0.1233 0.1233
Pb1 0.0000 0.0000 0.5000
W1 0.2500 0.2500 0.7500
```

Record 12
Diffraction record for FePd4. The PXRD pattern is computed, not measured: it uses a GGA-PBE-relaxed structure and Cu Kα (λ = 1.5418 Å).
Neutral-atom scattering factors, no anomalous dispersion.

Main lines, low angle first (10 to 80 degrees two-theta):
28.65°, I = 37, (0 0 2); 36.86°, I = 20, (3 1 0); 38.21°, I = 19, (4 0 -2); 39.06°, I = 100, (2 2 -1); 39.58°, I = 34, (1 1 2); 42.70°, I = 30, (1 1 -3); 42.98°, I = 31, (2 2 -2); 43.41°, I = 38, (4 0 -3); 43.90°, I = 38, (4 0 0); 46.95°, I = 45, (2 2 1)

Structural model:
```
data_FePd4
_chemical_formula_sum 'Fe4 Pd16'
_cell_length_a 9.5719
_cell_length_b 5.2889
_cell_length_c 7.2303
_cell_angle_alpha 90.00
_cell_angle_beta 120.48
_cell_angle_gamma 90.00
_space_group_name_H-M_alt 'C 1 2/m 1'
_space_group_IT_number 12
_space_group_name_Hall '-C 2y'
loop_
_atom_site_label
_atom_site_fract_x
_atom_site_fract_y
_atom_site_fract_z
Fe1 0.1275 0.0000 0.4993
Pd1 0.0817 0.5000 0.7138
Pd2 0.1347 0.2509 0.2043
Pd3 0.1475 0.0000 0.8722
```

Record 13
Diffraction record for Fe3Pd13. The PXRD pattern is computed, not measured: it uses a GGA-PBE-relaxed structure and Cu Kα (λ = 1.5418 Å).
Neutral-atom scattering factors, no anomalous dispersion.

Main lines, low angle first (10 to 80 degrees two-theta):
28.11°, I = 2, (2 1 1); 36.53°, I = 1, (0 3 1); 38.44°, I = 1, (1 3 1); 39.95°, I = 100, (2 2 2); 45.55°, I = 17, (0 0 4); 46.84°, I = 15, (0 4 0); 46.99°, I = 16, (4 0 0); 67.40°, I = 10, (0 4 4); 67.52°, I = 10, (4 0 4); 68.52°, I = 9, (4 4 0)

Structural model:
```
data_Fe3Pd13
_chemical_formula_sum 'Fe6 Pd26'
_cell_length_a 7.7354
_cell_length_b 7.7577
_cell_length_c 7.9652
_cell_angle_alpha 90.00
_cell_angle_beta 90.00
_cell_angle_gamma 90.00
_space_group_name_H-M_alt 'A m m 2'
_space_group_IT_number 38
_space_group_name_Hall 'A 2 -2'
loop_
_atom_site_label
_atom_site_fract_x
_atom_site_fract_y
_atom_site_fract_z
Fe1 0.0000 0.0000 0.0000
Fe2 0.2595 0.0000 0.2749
Pd1 0.0000 0.0000 0.5154
Pd2 0.0000 0.2276 0.2607
Pd3 0.2401 0.0000 0.7682
Pd4 0.2447 0.2423 0.0188
Pd5 0.5000 0.0000 0.0229
Pd6 0.5000 0.0000 0.5157
Pd7 0.5000 0.2475 0.2692
```

Record 14
Diffraction record for FePd6. The PXRD pattern is computed, not measured: it uses a GGA-PBE-relaxed structure and Cu Kα (λ = 1.5418 Å).
Neutral-atom scattering factors, no anomalous dispersion.

Main lines, low angle first (10 to 80 degrees two-theta):
14.05°, I = 1, (0 0 3); 23.76°, I = 1, (1 0 1); 30.07°, I = 1, (1 0 4); 33.33°, I = 1, (0 1 5); 40.91°, I = 100, (1 1 0); 59.24°, I = 16, (0 2 7); 73.90°, I = 1, (1 1 12); 74.50°, I = 32, (3 0 0)

Structural model:
```
data_FePd6
_chemical_formula_sum 'Fe3 Pd18'
_cell_length_a 4.4116
_cell_length_b 4.4116
_cell_length_c 18.9149
_cell_angle_alpha 90.00
_cell_angle_beta 90.00
_cell_angle_gamma 120.00
_space_group_name_H-M_alt 'R -3 m'
_space_group_IT_number 166
_space_group_name_Hall '-R 3 2"'
loop_
_atom_site_label
_atom_site_fract_x
_atom_site_fract_y
_atom_site_fract_z
Fe1 0.0000 0.0000 0.0000
Pd1 0.0000 0.0000 0.1396
Pd2 0.0000 0.0000 0.2882
Pd3 0.0000 0.0000 0.4296
```